Record 1
The following is a theoretical powder XRD pattern of Ba2NbSbS6. It was derived from the GGA-PBE geometry in OQMD, using a wavelength of 1.5418 Å.
Intensities are scaled so that the largest is 100.

Main lines, by intensity (2θ = 5–70°):
| 2θ/deg | I/Imax |
| --- | --- |
| 25.48 | 100.0 |
| 33.80 | 60.8 |
| 27.51 | 37.0 |
| 37.84 | 35.7 |
| 52.34 | 35.5 |
| 42.78 | 34.4 |
| 31.77 | 32.7 |
| 21.86 | 31.0 |
| 50.42 | 24.8 |
| 23.65 | 24.4 |

Cell and atoms:
```
data_Ba2NbSbS6
_chemical_formula_sum 'Ba12 Nb6 Sb6 S36'
_cell_length_a 6.9921
_cell_length_b 6.9921
_cell_length_c 38.3988
_cell_angle_alpha 90.00
_cell_angle_beta 90.00
_cell_angle_gamma 120.00
_space_group_name_H-M_alt 'R -3 m'
_space_group_IT_number 166
_space_group_name_Hall '-R 3 2"'
loop_
_atom_site_label
_atom_site_type_symbol
_atom_site_fract_x
_atom_site_fract_y
_atom_site_fract_z
Ba1 Ba 0.0000 0.0000 0.1142
Ba2 Ba 0.0000 0.0000 0.2803
Nb1 Nb 0.0000 0.0000 0.4126
Sb1 Sb 0.0000 0.0000 0.0000
Sb2 Sb 0.0000 0.0000 0.5000
S1 S 0.0028 0.5014 0.7119
S2 S 0.0061 0.5030 0.1201
```



Record 2
The following is a theoretical powder XRD pattern of Ba3Nb2Se7. It was derived from the GGA-PBE geometry in OQMD, using a wavelength of 1.5418 Å.
Intensities are scaled so that the largest is 100.

Main lines, by intensity (2θ = 5–70°):
| 2θ/deg | I/Imax |
| --- | --- |
| 35.26 | 100.0 |
| 31.95 | 72.9 |
| 49.42 | 56.9 |
| 24.74 | 49.6 |
| 33.49 | 43.6 |
| 24.13 | 39.4 |
| 50.73 | 34.8 |
| 62.16 | 28.3 |
| 28.15 | 27.8 |
| 61.22 | 22.1 |

Cell and atoms:
```
data_Ba3Nb2Se7
_chemical_formula_sum 'Ba12 Nb8 Se28'
_cell_length_a 7.1987
_cell_length_b 26.7568
_cell_length_c 7.1984
_cell_angle_alpha 90.00
_cell_angle_beta 90.00
_cell_angle_gamma 90.00
_space_group_name_H-M_alt 'C c c m'
_space_group_IT_number 66
_space_group_name_Hall '-C 2 2c'
loop_
_atom_site_label
_atom_site_type_symbol
_atom_site_fract_x
_atom_site_fract_y
_atom_site_fract_z
Ba1 Ba 0.2489 0.0669 0.0000
Ba2 Ba 0.2500 0.2500 0.0000
Nb1 Nb 0.2500 0.1531 0.5000
Se1 Se 0.0000 0.1538 0.2500
Se2 Se 0.0000 0.3466 0.2500
Se3 Se 0.2488 0.0527 0.5000
Se4 Se 0.2500 0.2500 0.5000
```



Record 3
The following is a theoretical powder XRD pattern of Ba3Nd4O9. It was derived from the GGA-PBE geometry in OQMD, using a wavelength of 1.5418 Å.
Intensities are scaled so that the largest is 100.

Main lines, by intensity (2θ = 5–70°):
| 2θ/deg | I/Imax |
| --- | --- |
| 28.47 | 100.0 |
| 28.85 | 84.6 |
| 50.67 | 44.1 |
| 40.98 | 42.0 |
| 50.42 | 26.0 |
| 66.93 | 17.6 |
| 42.23 | 17.5 |
| 58.92 | 15.0 |
| 51.36 | 9.5 |
| 17.67 | 8.6 |

Cell and atoms:
```
data_Ba3Nd4O9
_chemical_formula_sum 'Ba9 Nd12 O27'
_cell_length_a 6.2698
_cell_length_b 6.2698
_cell_length_c 26.3588
_cell_angle_alpha 90.00
_cell_angle_beta 90.00
_cell_angle_gamma 120.00
_space_group_name_H-M_alt 'R 3'
_space_group_IT_number 146
_space_group_name_Hall 'R 3'
loop_
_atom_site_label
_atom_site_type_symbol
_atom_site_fract_x
_atom_site_fract_y
_atom_site_fract_z
Ba1 Ba 0.0000 0.0000 0.0000
Ba2 Ba 0.0000 0.0000 0.1684
Ba3 Ba 0.0000 0.0000 0.5889
Nd1 Nd 0.0000 0.0000 0.3017
Nd2 Nd 0.0000 0.0000 0.4290
Nd3 Nd 0.0000 0.0000 0.7392
Nd4 Nd 0.0000 0.0000 0.8658
O1 O 0.0012 0.5870 0.5839
O2 O 0.0139 0.4199 0.0271
O3 O 0.0830 0.3504 0.4723
```



Record 4
The following is a theoretical powder XRD pattern of BaNd2Sc2O7. It was derived from the GGA-PBE geometry in OQMD, using a wavelength of 1.5418 Å.
Intensities are scaled so that the largest is 100.

Main lines, by intensity (2θ = 5–70°):
| 2θ/deg | I/Imax |
| --- | --- |
| 31.02 | 100.0 |
| 30.84 | 60.9 |
| 54.96 | 38.0 |
| 44.17 | 33.3 |
| 22.12 | 26.9 |
| 41.02 | 25.8 |
| 26.38 | 15.9 |
| 55.30 | 14.5 |
| 54.60 | 13.0 |
| 64.66 | 10.7 |

Cell and atoms:
```
data_BaNd2Sc2O7
_chemical_formula_sum 'Ba4 Nd8 Sc8 O28'
_cell_length_a 5.7990
_cell_length_b 5.7990
_cell_length_c 20.2704
_cell_angle_alpha 90.00
_cell_angle_beta 90.00
_cell_angle_gamma 90.00
_space_group_name_H-M_alt 'P 42/m n m'
_space_group_IT_number 136
_space_group_name_Hall '-P 4n 2n'
loop_
_atom_site_label
_atom_site_type_symbol
_atom_site_fract_x
_atom_site_fract_y
_atom_site_fract_z
Ba1 Ba 0.2398 0.2398 0.0000
Nd1 Nd 0.2253 0.2253 0.1844
Sc1 Sc 0.2421 0.2421 0.3982
O1 O 0.0000 0.0000 0.0939
O2 O 0.0000 0.0000 0.3699
O3 O 0.0000 0.5000 0.1135
O4 O 0.1861 0.8139 0.2096
O5 O 0.2144 0.2144 0.5000
```



Record 5
The following is a theoretical powder XRD pattern of Ba2NdOsS6. It was derived from the GGA-PBE geometry in OQMD, using a wavelength of 1.5418 Å.
Intensities are scaled so that the largest is 100.

Main lines, by intensity (2θ = 5–70°):
| 2θ/deg | I/Imax |
| --- | --- |
| 24.86 | 100.0 |
| 25.29 | 57.6 |
| 36.07 | 38.6 |
| 44.25 | 26.5 |
| 44.36 | 25.9 |
| 34.79 | 24.8 |
| 43.54 | 20.0 |
| 58.62 | 15.1 |
| 51.08 | 13.9 |
| 50.89 | 13.7 |

Cell and atoms:
```
data_Ba2NdOsS6
_chemical_formula_sum 'Ba2 Nd1 Os1 S6'
_cell_length_a 7.0395
_cell_length_b 7.0451
_cell_length_c 7.1558
_cell_angle_alpha 119.25
_cell_angle_beta 119.46
_cell_angle_gamma 90.01
_space_group_name_H-M_alt 'P -1'
_space_group_IT_number 2
loop_
_space_group_symop_operation_xyz
'x,y,z'
'-x,-y,-z'
loop_
_atom_site_label
_atom_site_type_symbol
_atom_site_fract_x
_atom_site_fract_y
_atom_site_fract_z
Ba1 Ba 0.2490 0.2488 0.9999
Nd1 Nd 0.0000 0.5000 0.5000
Os1 Os 0.5000 0.0000 0.5000
S1 S 0.2140 0.8266 0.5025
S2 S 0.2642 0.7711 0.0358
S3 S 0.3278 0.2896 0.5055
```



Record 6
The following is a theoretical powder XRD pattern of Ba2NdOsS6. It was derived from the GGA-PBE geometry in OQMD, using a wavelength of 1.5418 Å.
Intensities are scaled so that the largest is 100.

Main lines, by intensity (2θ = 5–70°):
| 2θ/deg | I/Imax |
| --- | --- |
| 24.87 | 100.0 |
| 25.23 | 56.7 |
| 44.24 | 51.5 |
| 35.99 | 39.3 |
| 51.01 | 27.9 |
| 43.56 | 26.1 |
| 34.91 | 24.4 |
| 69.95 | 17.0 |
| 58.47 | 14.7 |
| 69.11 | 14.4 |

Cell and atoms:
```
data_Ba2NdOsS6
_chemical_formula_sum 'Ba4 Nd2 Os2 S12'
_cell_length_a 7.0587
_cell_length_b 7.0587
_cell_length_c 10.2798
_cell_angle_alpha 90.00
_cell_angle_beta 90.00
_cell_angle_gamma 90.00
_space_group_name_H-M_alt 'I 4/m'
_space_group_IT_number 87
_space_group_name_Hall '-I 4'
loop_
_atom_site_label
_atom_site_type_symbol
_atom_site_fract_x
_atom_site_fract_y
_atom_site_fract_z
Ba1 Ba 0.0000 0.5000 0.2500
Nd1 Nd 0.0000 0.0000 0.0000
Os1 Os 0.0000 0.0000 0.5000
S1 S 0.0000 0.0000 0.2679
S2 S 0.1789 0.2835 0.5000
```



Record 7
The following is a theoretical powder XRD pattern of BaNd2P2. It was derived from the GGA-PBE geometry in OQMD, using a wavelength of 1.5418 Å.
Intensities are scaled so that the largest is 100.

Main lines, by intensity (2θ = 5–70°):
| 2θ/deg | I/Imax |
| --- | --- |
| 33.19 | 100.0 |
| 37.41 | 79.9 |
| 9.66 | 78.4 |
| 21.71 | 78.0 |
| 30.89 | 77.5 |
| 23.80 | 76.7 |
| 31.67 | 57.3 |
| 51.38 | 55.7 |
| 32.43 | 41.8 |
| 39.37 | 36.8 |

Cell and atoms:
```
data_BaNd2P2
_chemical_formula_sum 'Ba4 Nd8 P8'
_cell_length_a 9.1538
_cell_length_b 9.1538
_cell_length_c 7.4763
_cell_angle_alpha 90.00
_cell_angle_beta 90.00
_cell_angle_gamma 90.00
_space_group_name_H-M_alt 'P 42 m c'
_space_group_IT_number 105
loop_
_space_group_symop_operation_xyz
'x,y,z'
'-y,x,z+1/2'
'-x,-y,z'
'y,-x,z+1/2'
'-x,y,z'
'y,x,z+1/2'
'x,-y,z'
'-y,-x,z+1/2'
loop_
_atom_site_label
_atom_site_type_symbol
_atom_site_fract_x
_atom_site_fract_y
_atom_site_fract_z
Ba1 Ba 0.0000 0.0000 0.0000
Ba2 Ba 0.0000 0.5000 0.0695
Nd1 Nd 0.1827 0.5000 0.5738
Nd2 Nd 0.3303 0.5000 0.0767
P1 P 0.2566 0.2582 0.8219
```



Record 8
The following is a theoretical powder XRD pattern of BaNdSn2. It was derived from the GGA-PBE geometry in OQMD, using a wavelength of 1.5418 Å.
Intensities are scaled so that the largest is 100.

Main lines, by intensity (2θ = 5–70°):
| 2θ/deg | I/Imax |
| --- | --- |
| 25.13 | 100.0 |
| 26.80 | 85.2 |
| 37.07 | 73.0 |
| 27.53 | 64.4 |
| 46.79 | 61.2 |
| 37.62 | 56.6 |
| 38.80 | 52.0 |
| 66.39 | 26.3 |
| 68.76 | 19.8 |
| 59.08 | 19.1 |

Cell and atoms:
```
data_BaNdSn2
_chemical_formula_sum 'Ba2 Nd2 Sn4'
_cell_length_a 3.5432
_cell_length_b 6.6525
_cell_length_c 12.9597
_cell_angle_alpha 90.00
_cell_angle_beta 90.00
_cell_angle_gamma 90.00
_space_group_name_H-M_alt 'A m m 2'
_space_group_IT_number 38
loop_
_space_group_symop_operation_xyz
'x,y,z'
'-x,-y,z'
'-x,y,z'
'x,-y,z'
'x,y+1/2,z+1/2'
'-x,-y+1/2,z+1/2'
'-x,y+1/2,z+1/2'
'x,-y+1/2,z+1/2'
loop_
_atom_site_label
_atom_site_type_symbol
_atom_site_fract_x
_atom_site_fract_y
_atom_site_fract_z
Ba1 Ba 0.0000 0.0000 0.0000
Nd1 Nd 0.0000 0.0000 0.7153
Sn1 Sn 0.0000 0.0000 0.2622
Sn2 Sn 0.0000 0.0000 0.4805
```



Record 9
The following is a theoretical powder XRD pattern of Ba3Ni. It was derived from the GGA-PBE geometry in OQMD, using a wavelength of 1.5418 Å.
Intensities are scaled so that the largest is 100.

Main lines, by intensity (2θ = 5–70°):
| 2θ/deg | I/Imax |
| --- | --- |
| 29.85 | 100.0 |
| 52.98 | 39.0 |
| 42.72 | 18.5 |
| 62.01 | 12.1 |
| 18.15 | 4.5 |
| 35.16 | 2.7 |
| 20.99 | 2.4 |
| 46.77 | 1.2 |
| 48.06 | 1.1 |
| 65.19 | 1.0 |

Cell and atoms:
```
data_Ba3Ni
_chemical_formula_sum 'Ba12 Ni4'
_cell_length_a 8.4665
_cell_length_b 8.4665
_cell_length_c 8.4665
_cell_angle_alpha 90.00
_cell_angle_beta 90.00
_cell_angle_gamma 90.00
_space_group_name_H-M_alt 'F m -3 m'
_space_group_IT_number 225
_space_group_name_Hall '-F 4 2 3'
loop_
_atom_site_label
_atom_site_type_symbol
_atom_site_fract_x
_atom_site_fract_y
_atom_site_fract_z
Ba1 Ba 0.0000 0.0000 0.0000
Ba2 Ba 0.2500 0.2500 0.2500
Ni1 Ni 0.0000 0.0000 0.5000
```



Record 10
The following is a theoretical powder XRD pattern of Ba2Ni. It was derived from the GGA-PBE geometry in OQMD, using a wavelength of 1.5418 Å.
Intensities are scaled so that the largest is 100.

Main lines, by intensity (2θ = 5–70°):
| 2θ/deg | I/Imax |
| --- | --- |
| 25.98 | 100.0 |
| 29.48 | 44.0 |
| 40.08 | 43.1 |
| 66.35 | 24.4 |
| 38.78 | 24.1 |
| 44.19 | 22.7 |
| 12.24 | 22.6 |
| 23.65 | 21.1 |
| 48.39 | 18.0 |
| 47.61 | 17.8 |

Cell and atoms:
```
data_Ba2Ni
_chemical_formula_sum 'Ba4 Ni2'
_cell_length_a 4.4989
_cell_length_b 4.4989
_cell_length_c 14.4598
_cell_angle_alpha 90.00
_cell_angle_beta 90.00
_cell_angle_gamma 120.00
_space_group_name_H-M_alt 'P 63 m c'
_space_group_IT_number 186
_space_group_name_Hall 'P 6c -2c'
loop_
_atom_site_label
_atom_site_type_symbol
_atom_site_fract_x
_atom_site_fract_y
_atom_site_fract_z
Ba1 Ba 0.0000 0.0000 0.0000
Ba2 Ba 0.3333 0.6667 0.2320
Ni1 Ni 0.3333 0.6667 0.6158
```



Record 11
The following is a theoretical powder XRD pattern of Ba2NiOs. It was derived from the GGA-PBE geometry in OQMD, using a wavelength of 1.5418 Å.
Intensities are scaled so that the largest is 100.

Main lines, by intensity (2θ = 5–70°):
| 2θ/deg | I/Imax |
| --- | --- |
| 34.62 | 100.0 |
| 62.05 | 36.5 |
| 49.77 | 17.7 |
| 24.29 | 6.6 |
| 21.00 | 6.3 |
| 40.84 | 3.6 |
| 56.13 | 3.0 |
| 42.75 | 2.1 |
| 54.59 | 1.6 |
| 66.28 | 1.2 |

Cell and atoms:
```
data_Ba2NiOs
_chemical_formula_sum 'Ba8 Ni4 Os4'
_cell_length_a 7.3277
_cell_length_b 7.3277
_cell_length_c 7.3277
_cell_angle_alpha 90.00
_cell_angle_beta 90.00
_cell_angle_gamma 90.00
_space_group_name_H-M_alt 'F -4 3 m'
_space_group_IT_number 216
_space_group_name_Hall 'F -4 2 3'
loop_
_atom_site_label
_atom_site_type_symbol
_atom_site_fract_x
_atom_site_fract_y
_atom_site_fract_z
Ba1 Ba 0.0000 0.0000 0.0000
Ba2 Ba 0.2500 0.2500 0.2500
Ni1 Ni 0.2500 0.2500 0.7500
Os1 Os 0.0000 0.0000 0.5000
```



Record 12
The following is a theoretical powder XRD pattern of BaNi2P4. It was derived from the GGA-PBE geometry in OQMD, using a wavelength of 1.5418 Å.
Intensities are scaled so that the largest is 100.

Main lines, by intensity (2θ = 5–70°):
| 2θ/deg | I/Imax |
| --- | --- |
| 16.25 | 100.0 |
| 18.62 | 68.4 |
| 31.20 | 42.6 |
| 17.81 | 31.0 |
| 38.42 | 26.3 |
| 54.19 | 24.1 |
| 26.80 | 22.7 |
| 46.38 | 22.5 |
| 23.70 | 20.1 |
| 43.02 | 20.0 |

Cell and atoms:
```
data_BaNi2P4
_chemical_formula_sum 'Ba2 Ni4 P8'
_cell_length_a 6.6532
_cell_length_b 7.5098
_cell_length_c 9.5314
_cell_angle_alpha 90.00
_cell_angle_beta 90.00
_cell_angle_gamma 90.00
_space_group_name_H-M_alt 'I m m m'
_space_group_IT_number 71
_space_group_name_Hall '-I 2 2'
loop_
_atom_site_label
_atom_site_type_symbol
_atom_site_fract_x
_atom_site_fract_y
_atom_site_fract_z
Ba1 Ba 0.0000 0.0000 0.0000
Ni1 Ni 0.0000 0.3465 0.0000
P1 P 0.0000 0.0000 0.3343
P2 P 0.2227 0.0000 0.5000
```